[1]
This entry pairs a crystal structure of Sm2Zr3Sn4 with its computed powder X-ray diffraction pattern. Radiation: Cu Kα (λ = 1.5418 Å). Structure: a cell relaxed with PBE.

Most intense lines, 10 to 80 degrees two-theta, by intensity:
| Position (°2θ) | I_rel | (hkl) |
| --- | --- | --- |
| 32.22 | 100 | 2 2 -1 |
| 36.22 | 95 | 0 3 1 |
| 32.90 | 93 | 1 1 2 |
| 36.57 | 80 | 1 1 -3 |
| 32.56 | 71 | 1 2 -2 |
| 30.01 | 49 | 2 1 -2 |
| 30.11 | 46 | 1 2 1 |
| 36.11 | 36 | 3 0 -2 |

Atomic structure:
```
data_Sm2Zr3Sn4
_symmetry_space_group_name_H-M 'P 1 21/c 1'
_symmetry_Int_Tables_number 14
_cell_length_a 7.9279
_cell_length_b 7.9130
_cell_length_c 7.7558
_cell_angle_alpha 90.00
_cell_angle_beta 110.17
_cell_angle_gamma 90.00
loop_
_symmetry_equiv_pos_as_xyz
'x,y,z'
'-x,-y,-z'
'-x,y+1/2,-z+1/2'
'x,-y+1/2,z+1/2'
loop_
_atom_site_label
_atom_site_type_symbol
_atom_site_fract_x
_atom_site_fract_y
_atom_site_fract_z
Sm1 Sm 0.1864 0.1694 0.0588
Zr1 Zr 0.2540 0.6722 0.2471
Zr2 Zr 0.5000 0.0000 0.5000
Sn1 Sn 0.0847 0.5382 0.8524
Sn2 Sn 0.4880 0.1359 0.8599
```



[2]
This entry pairs a crystal structure of Sr3Sm with its computed powder X-ray diffraction pattern. Radiation: Cu Kα (λ = 1.5418 Å). Structure: a cell relaxed with PBE.

Most intense lines, 10 to 80 degrees two-theta, by intensity:
| Position (°2θ) | I_rel | (hkl) |
| --- | --- | --- |
| 28.73 | 100 | 2 0 1 |
| 27.13 | 26 | 0 0 2 |
| 52.91 | 24 | 2 2 2 |
| 25.26 | 23 | 2 0 0 |
| 48.95 | 23 | 2 0 3 |
| 44.51 | 20 | 2 2 0 |
| 53.85 | 17 | 4 0 1 |
| 37.41 | 16 | 2 0 2 |

Atomic structure:
```
data_Sr3Sm
_symmetry_space_group_name_H-M 'P 63/m m c'
_symmetry_Int_Tables_number 194
_symmetry_space_group_name_Hall '-P 6c 2c'
_cell_length_a 8.1416
_cell_length_b 8.1416
_cell_length_c 6.5734
_cell_angle_alpha 90.00
_cell_angle_beta 90.00
_cell_angle_gamma 120.00
loop_
_atom_site_label
_atom_site_type_symbol
_atom_site_fract_x
_atom_site_fract_y
_atom_site_fract_z
Sr1 Sr 0.1719 0.3438 0.2500
Sm1 Sm 0.3333 0.6667 0.7500
```



[3]
This entry pairs a crystal structure of SrSm5 with its computed powder X-ray diffraction pattern. Radiation: Cu Kα (λ = 1.5418 Å). Structure: a cell relaxed with PBE.

Most intense lines, 10 to 80 degrees two-theta, by intensity:
| Position (°2θ) | I_rel | (hkl) |
| --- | --- | --- |
| 29.51 | 100 | 1 3 1 |
| 49.14 | 36 | 2 0 2 |
| 34.17 | 34 | 2 0 0 |
| 58.33 | 29 | 3 3 1 |
| 34.27 | 16 | 0 6 0 |
| 58.45 | 13 | 1 9 1 |
| 61.24 | 12 | 2 6 2 |
| 79.69 | 11 | 3 3 3 |

Atomic structure:
```
data_SrSm5
_symmetry_space_group_name_H-M 'C m m m'
_symmetry_Int_Tables_number 65
_symmetry_space_group_name_Hall '-C 2 2'
_cell_length_a 5.2464
_cell_length_b 15.7017
_cell_length_c 5.2501
_cell_angle_alpha 90.00
_cell_angle_beta 90.00
_cell_angle_gamma 90.00
loop_
_atom_site_label
_atom_site_type_symbol
_atom_site_fract_x
_atom_site_fract_y
_atom_site_fract_z
Sr1 Sr 0.0000 0.0000 0.0000
Sm1 Sm 0.0000 0.1733 0.5000
Sm2 Sm 0.0000 0.3267 0.0000
Sm3 Sm 0.0000 0.5000 0.5000
```



[4]
This entry pairs a crystal structure of SrTbSm14 with its computed powder X-ray diffraction pattern. Radiation: Cu Kα (λ = 1.5418 Å). Structure: a cell relaxed with PBE.

Most intense lines, 10 to 80 degrees two-theta, by intensity:
| Position (°2θ) | I_rel | (hkl) |
| --- | --- | --- |
| 29.96 | 100 | 2 0 2 |
| 34.60 | 34 | 2 2 0 |
| 59.16 | 29 | 4 2 2 |
| 50.03 | 24 | 2 2 4 |
| 34.99 | 17 | 0 0 4 |
| 59.67 | 14 | 2 0 6 |
| 62.25 | 12 | 4 0 4 |
| 49.74 | 12 | 4 0 0 |

Atomic structure:
```
data_SrTbSm14
_symmetry_space_group_name_H-M 'P 4/m m m'
_symmetry_Int_Tables_number 123
_symmetry_space_group_name_Hall '-P 4 2'
_cell_length_a 7.3325
_cell_length_b 7.3325
_cell_length_c 10.2586
_cell_angle_alpha 90.00
_cell_angle_beta 90.00
_cell_angle_gamma 90.00
loop_
_atom_site_label
_atom_site_type_symbol
_atom_site_fract_x
_atom_site_fract_y
_atom_site_fract_z
Sr1 Sr 0.0000 0.0000 0.0000
Tb1 Tb 0.5000 0.5000 0.0000
Sm1 Sm 0.0000 0.0000 0.5000
Sm2 Sm 0.0000 0.5000 0.0000
Sm3 Sm 0.0000 0.5000 0.5000
Sm4 Sm 0.2558 0.2558 0.2545
Sm5 Sm 0.5000 0.5000 0.5000
```



[5]
This entry pairs a crystal structure of SrSm5Te6 with its computed powder X-ray diffraction pattern. Radiation: Cu Kα (λ = 1.5418 Å). Structure: a cell relaxed with PBE.

Most intense lines, 10 to 80 degrees two-theta, by intensity:
| Position (°2θ) | I_rel | (hkl) |
| --- | --- | --- |
| 28.15 | 100 | 2 0 -2 |
| 40.13 | 38 | 1 3 -3 |
| 40.32 | 38 | 3 3 -1 |
| 65.74 | 18 | 3 3 -5 |
| 49.86 | 14 | 2 6 -2 |
| 58.20 | 13 | 4 0 -4 |
| 66.05 | 12 | 5 3 -3 |
| 73.12 | 8 | 4 6 -4 |

Atomic structure:
```
data_SrSm5Te6
_symmetry_space_group_name_H-M 'C 1 2/m 1'
_symmetry_Int_Tables_number 12
_cell_length_a 7.7390
_cell_length_b 13.4356
_cell_length_c 7.7987
_cell_angle_alpha 90.00
_cell_angle_beta 109.40
_cell_angle_gamma 90.00
loop_
_symmetry_equiv_pos_as_xyz
'x,y,z'
'-x,-y,-z'
'-x,y,-z'
'x,-y,z'
'x+1/2,y+1/2,z'
'-x+1/2,-y+1/2,-z'
'-x+1/2,y+1/2,-z'
'x+1/2,-y+1/2,z'
loop_
_atom_site_label
_atom_site_type_symbol
_atom_site_fract_x
_atom_site_fract_y
_atom_site_fract_z
Sr1 Sr 0.0000 0.0000 0.0000
Sm1 Sm 0.0000 0.1608 0.5000
Sm2 Sm 0.0000 0.3325 0.0000
Sm3 Sm 0.0000 0.5000 0.5000
Te1 Te 0.2431 0.5000 0.2480
Te2 Te 0.2448 0.3303 0.7439
```



[6]
This entry pairs a crystal structure of Sr3SmY2Te6 with its computed powder X-ray diffraction pattern. Radiation: Cu Kα (λ = 1.5418 Å). Structure: a cell relaxed with PBE.

Most intense lines, 10 to 80 degrees two-theta, by intensity:
| Position (°2θ) | I_rel | (hkl) |
| --- | --- | --- |
| 27.75 | 100 | 6 0 0 |
| 39.23 | 38 | 7 1 -2 |
| 40.05 | 37 | 0 2 0 |
| 49.42 | 20 | 6 2 0 |
| 65.41 | 17 | 1 3 -2 |
| 64.27 | 16 | 8 2 -4 |
| 57.31 | 12 | 2 2 -4 |
| 72.20 | 12 | 7 3 -2 |

Atomic structure:
```
data_Sr3SmY2Te6
_symmetry_space_group_name_H-M 'C 1 2/m 1'
_symmetry_Int_Tables_number 12
_cell_length_a 19.9773
_cell_length_b 4.5035
_cell_length_c 9.1824
_cell_angle_alpha 90.00
_cell_angle_beta 104.92
_cell_angle_gamma 90.00
loop_
_symmetry_equiv_pos_as_xyz
'x,y,z'
'-x,-y,-z'
'-x,y,-z'
'x,-y,z'
'x+1/2,y+1/2,z'
'-x+1/2,-y+1/2,-z'
'-x+1/2,y+1/2,-z'
'x+1/2,-y+1/2,z'
loop_
_atom_site_label
_atom_site_type_symbol
_atom_site_fract_x
_atom_site_fract_y
_atom_site_fract_z
Sr1 Sr 0.0000 0.0000 0.0000
Sr2 Sr 0.1654 0.5000 0.3318
Sm1 Sm 0.0000 0.0000 0.5000
Y1 Y 0.1645 0.5000 0.8282
Te1 Te 0.0041 0.5000 0.7449
Te2 Te 0.1648 0.0000 0.5933
Te3 Te 0.1719 0.0000 0.0708
```



[7]
This entry pairs a crystal structure of SrSm4Tl5 with its computed powder X-ray diffraction pattern. Radiation: Cu Kα (λ = 1.5418 Å). Structure: a cell relaxed with PBE.

Most intense lines, 10 to 80 degrees two-theta, by intensity:
| Position (°2θ) | I_rel | (hkl) |
| --- | --- | --- |
| 32.35 | 100 | 1 0 5 |
| 32.51 | 52 | 1 1 0 |
| 57.90 | 39 | 2 1 5 |
| 46.63 | 19 | 2 0 0 |
| 77.45 | 17 | 3 1 0 |
| 57.60 | 17 | 1 1 10 |
| 67.72 | 10 | 2 0 10 |
| 46.18 | 8 | 0 0 10 |

Atomic structure:
```
data_SrSm4Tl5
_symmetry_space_group_name_H-M 'P 4/m m m'
_symmetry_Int_Tables_number 123
_symmetry_space_group_name_Hall '-P 4 2'
_cell_length_a 3.8953
_cell_length_b 3.8953
_cell_length_c 19.6592
_cell_angle_alpha 90.00
_cell_angle_beta 90.00
_cell_angle_gamma 90.00
loop_
_atom_site_label
_atom_site_type_symbol
_atom_site_fract_x
_atom_site_fract_y
_atom_site_fract_z
Sr1 Sr 0.0000 0.0000 0.0000
Sm1 Sm 0.0000 0.0000 0.2066
Sm2 Sm 0.0000 0.0000 0.4028
Tl1 Tl 0.5000 0.5000 0.1121
Tl2 Tl 0.5000 0.5000 0.3065
Tl3 Tl 0.5000 0.5000 0.5000
```



[8]
This entry pairs a crystal structure of SrSm3Tl2 with its computed powder X-ray diffraction pattern. Radiation: Cu Kα (λ = 1.5418 Å). Structure: a cell relaxed with PBE.

Most intense lines, 10 to 80 degrees two-theta, by intensity:
| Position (°2θ) | I_rel | (hkl) |
| --- | --- | --- |
| 32.12 | 100 | 1 3 0 |
| 31.20 | 86 | 1 1 2 |
| 32.53 | 52 | 2 0 0 |
| 31.06 | 39 | 0 2 2 |
| 45.60 | 27 | 2 2 2 |
| 41.05 | 26 | 1 3 2 |
| 61.59 | 22 | 1 3 4 |
| 24.88 | 21 | 0 0 2 |

Atomic structure:
```
data_SrSm3Tl2
_symmetry_space_group_name_H-M 'P m c 21'
_symmetry_Int_Tables_number 26
_cell_length_a 5.5047
_cell_length_b 9.6946
_cell_length_c 7.1579
_cell_angle_alpha 90.00
_cell_angle_beta 90.00
_cell_angle_gamma 90.00
loop_
_symmetry_equiv_pos_as_xyz
'x,y,z'
'-x,-y,z+1/2'
'-x,y,z'
'x,-y,z+1/2'
loop_
_atom_site_label
_atom_site_type_symbol
_atom_site_fract_x
_atom_site_fract_y
_atom_site_fract_z
Sr1 Sr 0.0000 0.0306 0.0000
Sm1 Sm 0.0000 0.3357 0.7034
Sm2 Sm 0.5000 0.1755 0.2854
Sm3 Sm 0.5000 0.4740 0.9845
Tl1 Tl 0.0000 0.3405 0.2394
Tl2 Tl 0.5000 0.1649 0.7478
```



[9]
This entry pairs a crystal structure of SrSm2Zn with its computed powder X-ray diffraction pattern. Radiation: Cu Kα (λ = 1.5418 Å). Structure: a cell relaxed with PBE.

Most intense lines, 10 to 80 degrees two-theta, by intensity:
| Position (°2θ) | I_rel | (hkl) |
| --- | --- | --- |
| 30.45 | 100 | 1 0 2 |
| 33.81 | 66 | 1 1 0 |
| 37.30 | 36 | 1 0 3 |
| 58.41 | 31 | 2 1 2 |
| 25.57 | 28 | 1 0 1 |
| 44.69 | 28 | 1 1 3 |
| 48.57 | 24 | 2 0 0 |
| 28.35 | 24 | 0 0 3 |

Atomic structure:
```
data_SrSm2Zn
_symmetry_space_group_name_H-M 'P 4/m m m'
_symmetry_Int_Tables_number 123
_symmetry_space_group_name_Hall '-P 4 2'
_cell_length_a 3.7489
_cell_length_b 3.7489
_cell_length_c 9.4437
_cell_angle_alpha 90.00
_cell_angle_beta 90.00
_cell_angle_gamma 90.00
loop_
_atom_site_label
_atom_site_type_symbol
_atom_site_fract_x
_atom_site_fract_y
_atom_site_fract_z
Sr1 Sr 0.0000 0.0000 0.0000
Sm1 Sm 0.5000 0.5000 0.3214
Zn1 Zn 0.0000 0.0000 0.5000
```



[10]
This entry pairs a crystal structure of SrSm2Zn6 with its computed powder X-ray diffraction pattern. Radiation: Cu Kα (λ = 1.5418 Å). Structure: a cell relaxed with PBE.

Most intense lines, 10 to 80 degrees two-theta, by intensity:
| Position (°2θ) | I_rel | (hkl) |
| --- | --- | --- |
| 33.22 | 100 | 1 1 1 |
| 39.31 | 58 | 3 0 0 |
| 52.38 | 27 | 2 2 1 |
| 65.05 | 25 | 3 0 2 |
| 67.41 | 25 | 4 1 1 |
| 22.40 | 11 | 1 1 0 |
| 71.26 | 10 | 3 3 0 |
| 49.60 | 10 | 0 0 2 |

Atomic structure:
```
data_SrSm2Zn6
_symmetry_space_group_name_H-M 'P 6/m m m'
_symmetry_Int_Tables_number 191
_symmetry_space_group_name_Hall '-P 6 2'
_cell_length_a 7.9397
_cell_length_b 7.9397
_cell_length_c 3.6761
_cell_angle_alpha 90.00
_cell_angle_beta 90.00
_cell_angle_gamma 120.00
loop_
_atom_site_label
_atom_site_type_symbol
_atom_site_fract_x
_atom_site_fract_y
_atom_site_fract_z
Sr1 Sr 0.0000 0.0000 0.0000
Sm1 Sm 0.3333 0.6667 0.0000
Zn1 Zn 0.0000 0.3376 0.5000
```



[11]
This entry pairs a crystal structure of SmTa4Te8 with its computed powder X-ray diffraction pattern. Radiation: Cu Kα (λ = 1.5418 Å). Structure: a cell relaxed with PBE.

Most intense lines, 10 to 80 degrees two-theta, by intensity:
| Position (°2θ) | I_rel | (hkl) |
| --- | --- | --- |
| 31.34 | 100 | 0 2 4 |
| 41.90 | 44 | 2 0 8 |
| 11.64 | 44 | 0 0 3 |
| 47.80 | 41 | 2 2 0 |
| 69.95 | 18 | 2 2 12 |
| 58.27 | 17 | 4 0 4 |
| 78.59 | 14 | 2 4 4 |
| 65.40 | 12 | 0 4 8 |

Atomic structure:
```
data_SmTa4Te8
_symmetry_space_group_name_H-M 'R -3 m'
_symmetry_Int_Tables_number 166
_symmetry_space_group_name_Hall '-R 3 2"'
_cell_length_a 7.6136
_cell_length_b 7.6136
_cell_length_c 22.8038
_cell_angle_alpha 90.00
_cell_angle_beta 90.00
_cell_angle_gamma 120.00
loop_
_atom_site_label
_atom_site_type_symbol
_atom_site_fract_x
_atom_site_fract_y
_atom_site_fract_z
Sm1 Sm 0.0000 0.0000 0.0000
Ta1 Ta 0.0000 0.0000 0.5000
Ta2 Ta 0.0000 0.5000 0.5000
Te1 Te 0.0000 0.0000 0.2446
Te2 Te 0.0106 0.5053 0.2444
```



[12]
This entry pairs a crystal structure of Tb5Sm3 with its computed powder X-ray diffraction pattern. Radiation: Cu Kα (λ = 1.5418 Å). Structure: a cell relaxed with PBE.

Most intense lines, 10 to 80 degrees two-theta, by intensity:
| Position (°2θ) | I_rel | (hkl) |
| --- | --- | --- |
| 32.34 | 100 | 1 1 2 |
| 31.20 | 24 | 0 2 0 |
| 28.23 | 24 | 0 0 4 |
| 60.10 | 23 | 2 2 0 |
| 56.25 | 21 | 1 3 2 |
| 49.97 | 20 | 2 0 0 |
| 60.79 | 16 | 0 1 8 |
| 42.58 | 16 | 0 2 4 |

Atomic structure:
```
data_Tb5Sm3
_symmetry_space_group_name_H-M 'P m m 2'
_symmetry_Int_Tables_number 25
_cell_length_a 3.6525
_cell_length_b 5.7327
_cell_length_c 12.6354
_cell_angle_alpha 90.00
_cell_angle_beta 90.00
_cell_angle_gamma 90.00
loop_
_symmetry_equiv_pos_as_xyz
'x,y,z'
'-x,-y,z'
'-x,y,z'
'x,-y,z'
loop_
_atom_site_label
_atom_site_type_symbol
_atom_site_fract_x
_atom_site_fract_y
_atom_site_fract_z
Tb1 Tb 0.0000 0.0000 0.0000
Tb2 Tb 0.0000 0.0000 0.4953
Tb3 Tb 0.0000 0.5000 0.3290
Tb4 Tb 0.5000 0.0000 0.2472
Tb5 Tb 0.5000 0.5000 0.0820
Sm1 Sm 0.0000 0.5000 0.8312
Sm2 Sm 0.5000 0.0000 0.7493
Sm3 Sm 0.5000 0.5000 0.5783
```